Ca10Al6Ge9: computed powder X-ray diffraction pattern (λ = 1.5418 Å (Cu Kα)), based on a DFT-relaxed cell (PBE, the Materials Project).
Lines closer than 0.1° are merged.

Structure:
Cell: 13.9650 13.9650 21.1525 Å, 90.00 90.00 120.00°
Space group R-3m (No. 166, hexagonal axes)
Inequivalent atoms, fractional coordinates:
Ca1 0.0000 0.0000 0.0000 x3
Ca2 0.0000 0.0000 0.5000 x3
Ca3 0.0000 0.2914 0.0000 x18
Ca4 0.0000 0.2929 0.5000 x18
Ca5 0.0969 0.1939 0.2471 x18
Al1 0.0716 0.1433 0.6430 x18
Al2 0.0955 0.1910 0.8734 x18
Ge1 0.0637 0.5318 0.4227 x18
Ge2 0.1070 0.2139 0.0976 x18
Ge3 0.1091 0.2182 0.4041 x18

Top 12 peaks for 10 to 80 degrees two-theta, in order of rising 2θ:
4.031 Å, 2θ = 22.05°, rel. 13.7, hkl 3 0 0
3.525 Å, 2θ = 25.26°, rel. 15.2, hkl 0 0 6
3.500 Å, 2θ = 25.45°, rel. 81.2, hkl 0 3 3
2.907 Å, 2θ = 30.76°, rel. 18.9, hkl 0 4 2
2.833 Å, 2θ = 31.59°, rel. 17.1, hkl 1 3 4
2.654 Å, 2θ = 33.78°, rel. 100.0, hkl 3 0 6
2.626 Å, 2θ = 34.15°, rel. 19.0, hkl 4 0 4
2.583 Å, 2θ = 34.73°, rel. 21.4, hkl 0 1 8
2.328 Å, 2θ = 38.69°, rel. 76.1, hkl 3 3 0
2.030 Å, 2θ = 44.63°, rel. 24.1, hkl 0 3 9
1.942 Å, 2θ = 46.77°, rel. 21.9, hkl 3 3 6
1.938 Å, 2θ = 46.88°, rel. 16.2, hkl 0 6 3

***

YPOs2C: computed powder X-ray diffraction pattern (λ = 1.5418 Å (Cu Kα)), based on a DFT-relaxed cell (PBE, the Materials Project).
Lines closer than 0.1° are merged.

Structure:
Cell: 3.837 11.146 7.052 Å, 90.00 90.00 90.00°
Space group Cmcm (No. 63)
Inequivalent atoms, fractional coordinates:
Y1 0.000 0.044 0.250 x4
P1 0.000 0.231 0.750 x4
Os1 0.000 0.334 0.052 x8
C1 0.000 0.500 0.000 x4

Top 12 peaks for 10 to 80 degrees two-theta, in order of rising 2θ:
5.573 Å, 2θ = 15.90°, rel. 27.0, hkl 0 2 0
3.526 Å, 2θ = 25.26°, rel. 20.3, hkl 0 0 2
3.226 Å, 2θ = 27.65°, rel. 18.1, hkl 1 1 1
2.980 Å, 2θ = 29.99°, rel. 25.8, hkl 0 2 2
2.669 Å, 2θ = 33.58°, rel. 100.0, hkl 1 3 0
2.592 Å, 2θ = 34.61°, rel. 21.1, hkl 0 4 1
2.528 Å, 2θ = 35.50°, rel. 63.6, hkl 1 1 2
2.166 Å, 2θ = 41.70°, rel. 31.4, hkl 0 2 3
2.128 Å, 2θ = 42.48°, rel. 34.5, hkl 1 3 2
1.973 Å, 2θ = 46.01°, rel. 36.6, hkl 1 1 3
1.918 Å, 2θ = 47.39°, rel. 28.4, hkl 2 0 0
1.490 Å, 2θ = 62.29°, rel. 22.7, hkl 1 5 3

***

BaCd4Pt2: computed powder X-ray diffraction pattern (λ = 1.5418 Å (Cu Kα)), based on a DFT-relaxed cell (PBE, the Materials Project).
Lines closer than 0.1° are merged.

Structure:
Cell: 8.542 8.542 4.513 Å, 90.00 90.00 90.00°
Space group P4_2/mnm (No. 136)
Inequivalent atoms, fractional coordinates:
Ba1 0.000 0.000 0.000 x2
Cd1 0.089 0.343 0.500 x8
Pt1 0.221 0.779 0.500 x4

Top 12 peaks for 10 to 80 degrees two-theta, in order of rising 2θ:
4.271 Å, 2θ = 20.80°, rel. 19.5, hkl 2 0 0
3.615 Å, 2θ = 24.62°, rel. 15.3, hkl 1 1 1
3.020 Å, 2θ = 29.58°, rel. 27.3, hkl 2 2 0
2.916 Å, 2θ = 30.66°, rel. 70.2, hkl 2 1 1
2.701 Å, 2θ = 33.17°, rel. 24.5, hkl 3 1 0
2.510 Å, 2θ = 35.78°, rel. 40.4, hkl 2 2 1
2.318 Å, 2θ = 38.86°, rel. 100.0, hkl 3 1 1
2.257 Å, 2θ = 39.95°, rel. 38.1, hkl 0 0 2
2.072 Å, 2θ = 43.69°, rel. 29.3, hkl 4 1 0
1.598 Å, 2θ = 57.70°, rel. 17.9, hkl 4 3 1
1.526 Å, 2θ = 60.68°, rel. 21.8, hkl 4 1 2
1.314 Å, 2θ = 71.83°, rel. 16.2, hkl 3 1 3

***

SrAgO2: computed powder X-ray diffraction pattern (λ = 1.5418 Å (Cu Kα)), based on a DFT-relaxed cell (PBE, the Materials Project).
Lines closer than 0.1° are merged.

Structure:
Cell: 7.608 4.573 3.654 Å, 90.00 90.00 90.00°
Space group Pmma (No. 51)
Inequivalent atoms, fractional coordinates:
Sr1 0.250 0.000 0.009 x2
Ag1 0.000 0.500 0.500 x2
O1 0.000 0.000 0.500 x2
O2 0.250 0.500 0.754 x2

Top 12 peaks for 10 to 80 degrees two-theta, in order of rising 2θ:
2.924 Å, 2θ = 30.57°, rel. 77.7, hkl 2 1 0
2.855 Å, 2θ = 31.34°, rel. 88.2, hkl 0 1 1
2.635 Å, 2θ = 34.02°, rel. 100.0, hkl 2 0 1
2.286 Å, 2θ = 39.41°, rel. 38.0, hkl 0 2 0
1.902 Å, 2θ = 47.82°, rel. 20.9, hkl 4 0 0
1.827 Å, 2θ = 49.91°, rel. 13.8, hkl 0 0 2
1.727 Å, 2θ = 53.03°, rel. 52.9, hkl 2 2 1
1.583 Å, 2θ = 58.29°, rel. 29.6, hkl 4 1 1
1.550 Å, 2θ = 59.67°, rel. 31.7, hkl 2 1 2
1.462 Å, 2θ = 63.64°, rel. 16.7, hkl 4 2 0
1.427 Å, 2θ = 65.38°, rel. 12.0, hkl 0 2 2
1.407 Å, 2θ = 66.46°, rel. 10.0, hkl 0 3 1

***

Na3PaF8: computed powder X-ray diffraction pattern (λ = 1.5418 Å (Cu Kα)), based on a DFT-relaxed cell (PBE, the Materials Project).
Lines closer than 0.1° are merged.

Structure:
Cell: 5.528 5.528 11.021 Å, 90.00 90.00 90.00°
Space group I4/mmm (No. 139)
Inequivalent atoms, fractional coordinates:
Na1 0.000 0.000 0.000 x2
Na2 0.000 0.500 0.250 x4
Pa1 0.000 0.000 0.500 x2
F1 0.232 0.232 0.383 x16

Top 12 peaks for 10 to 80 degrees two-theta, in order of rising 2θ:
5.511 Å, 2θ = 16.08°, rel. 33.2, hkl 0 0 2
4.941 Å, 2θ = 17.95°, rel. 100.0, hkl 1 0 1
3.909 Å, 2θ = 22.75°, rel. 25.8, hkl 1 1 0
3.188 Å, 2θ = 27.99°, rel. 68.8, hkl 1 1 2
3.060 Å, 2θ = 29.19°, rel. 24.7, hkl 1 0 3
2.471 Å, 2θ = 36.37°, rel. 13.2, hkl 2 0 2
2.412 Å, 2θ = 37.28°, rel. 25.8, hkl 2 1 1
2.252 Å, 2θ = 40.04°, rel. 11.9, hkl 1 1 4
2.050 Å, 2θ = 44.18°, rel. 28.3, hkl 2 1 3
1.952 Å, 2θ = 46.52°, rel. 55.7, hkl 2 2 0
1.666 Å, 2θ = 55.12°, rel. 20.8, hkl 3 1 2
1.646 Å, 2θ = 55.86°, rel. 16.8, hkl 3 0 3

***

SbTe8Cl6O6F31: computed powder X-ray diffraction pattern (λ = 1.5418 Å (Cu Kα)), based on a DFT-relaxed cell (PBE, the Materials Project).
Lines closer than 0.1° are merged.

Structure:
Cell: 9.366 10.664 10.815 Å, 83.51 86.18 75.66°
Space group P-1 (No. 2)
Inequivalent atoms, fractional coordinates:
Sb1 0.000 0.000 0.000 x1
Te1 0.169 0.974 0.300 x2
Te2 0.239 0.199 0.843 x2
Te3 0.275 0.723 0.893 x2
Te4 0.338 0.486 0.362 x2
Cl1 0.159 0.451 0.237 x2
Cl2 0.165 0.578 0.509 x2
Cl3 0.397 0.270 0.443 x2
O1 0.066 0.142 0.894 x2
O2 0.083 0.050 0.147 x2
O3 0.194 0.873 0.974 x2
F1 0.002 0.070 0.631 x2
F2 0.106 0.658 0.911 x2
F3 0.109 0.138 0.359 x2
F4 0.132 0.304 0.712 x2
F5 0.182 0.337 0.943 x2
F6 0.221 0.802 0.734 x2
F7 0.236 0.803 0.252 x2
F8 0.258 0.910 0.452 x2
F9 0.308 0.069 0.736 x2
F10 0.343 0.628 0.044 x2
F11 0.349 0.011 0.242 x2
F12 0.355 0.098 0.969 x2
F13 0.370 0.573 0.813 x2
F14 0.401 0.267 0.786 x2
F15 0.455 0.772 0.871 x2
F16 0.500 0.500 0.500 x1

Top 12 peaks for 10 to 80 degrees two-theta, in order of rising 2θ:
7.811 Å, 2θ = 11.33°, rel. 68.6, hkl 1 1 0
6.106 Å, 2θ = 14.51°, rel. 20.3, hkl 1 -1 0
4.776 Å, 2θ = 18.58°, rel. 54.6, hkl 1 2 1
4.703 Å, 2θ = 18.87°, rel. 66.9, hkl 1 0 2
4.538 Å, 2θ = 19.56°, rel. 100.0, hkl 1 0 -2
4.466 Å, 2θ = 19.88°, rel. 44.9, hkl 0 2 -1
4.352 Å, 2θ = 20.41°, rel. 45.8, hkl 1 2 -1
3.884 Å, 2θ = 22.90°, rel. 63.7, hkl -1 2 1
3.639 Å, 2θ = 24.46°, rel. 19.3, hkl 2 1 2
3.543 Å, 2θ = 25.14°, rel. 44.0, hkl 2 2 -1
3.398 Å, 2θ = 26.23°, rel. 25.6, hkl 1 1 3
3.085 Å, 2θ = 28.94°, rel. 18.9, hkl 0 2 3

***

SrCu2As2: computed powder X-ray diffraction pattern (λ = 1.5418 Å (Cu Kα)), based on a DFT-relaxed cell (PBE, the Materials Project).
Lines closer than 0.1° are merged.

Structure:
Cell: 4.234 4.234 10.775 Å, 90.00 90.00 90.00°
Space group I4/mmm (No. 139)
Inequivalent atoms, fractional coordinates:
Sr1 0.000 0.000 0.000 x2
Cu1 0.000 0.500 0.250 x4
As1 0.000 0.000 0.372 x4

Top 12 peaks for 10 to 80 degrees two-theta, in order of rising 2θ:
5.387 Å, 2θ = 16.45°, rel. 9.9, hkl 0 0 2
2.994 Å, 2θ = 29.84°, rel. 16.0, hkl 1 1 0
2.739 Å, 2θ = 32.70°, rel. 96.5, hkl 1 0 3
2.617 Å, 2θ = 34.27°, rel. 100.0, hkl 1 1 2
2.117 Å, 2θ = 42.71°, rel. 79.7, hkl 2 0 0
2.002 Å, 2θ = 45.29°, rel. 38.4, hkl 1 1 4
1.920 Å, 2θ = 47.33°, rel. 28.2, hkl 1 0 5
1.675 Å, 2θ = 54.81°, rel. 43.3, hkl 2 1 3
1.540 Å, 2θ = 60.08°, rel. 22.7, hkl 1 1 6
1.497 Å, 2θ = 62.00°, rel. 25.3, hkl 2 2 0
1.422 Å, 2θ = 65.64°, rel. 21.0, hkl 2 1 5
1.299 Å, 2θ = 72.78°, rel. 20.2, hkl 3 1 2

***

Np2S3: computed powder X-ray diffraction pattern (λ = 1.5418 Å (Cu Kα)), based on a DFT-relaxed cell (PBE, the Materials Project).
Lines closer than 0.1° are merged.

Structure:
Cell: 10.526 3.876 10.345 Å, 90.00 90.00 90.00°
Space group Pnma (No. 62)
Inequivalent atoms, fractional coordinates:
Np1 0.008 0.250 0.183 x4
Np2 0.187 0.250 0.508 x4
S1 0.051 0.750 0.369 x4
S2 0.125 0.250 0.945 x4
S3 0.228 0.750 0.703 x4

Top 12 peaks for 10 to 80 degrees two-theta, in order of rising 2θ:
3.689 Å, 2θ = 24.12°, rel. 100.0, hkl 2 0 2
3.629 Å, 2θ = 24.53°, rel. 44.2, hkl 0 1 1
3.431 Å, 2θ = 25.97°, rel. 56.3, hkl 1 1 1
3.323 Å, 2θ = 26.83°, rel. 70.2, hkl 3 0 1
3.277 Å, 2θ = 27.21°, rel. 63.5, hkl 1 0 3
2.988 Å, 2θ = 29.91°, rel. 39.3, hkl 2 1 1
2.975 Å, 2θ = 30.04°, rel. 53.1, hkl 1 1 2
2.672 Å, 2θ = 33.54°, rel. 35.9, hkl 2 1 2
2.502 Å, 2θ = 35.89°, rel. 51.9, hkl 1 1 3
2.323 Å, 2θ = 38.77°, rel. 42.8, hkl 2 0 4
2.007 Å, 2θ = 45.19°, rel. 34.3, hkl 4 1 2
1.797 Å, 2θ = 50.80°, rel. 40.1, hkl 5 0 3